Starting from a crystal structure in Alexandria, relaxed with PBE, the powder diffraction line list of Rb2SO5 was calculated for Cu Kα (weighted mean of Kα1 and Kα2).

Peak list (10 most intense, 10 to 80 degrees two-theta, sorted by position)
d [Å]  I (rel.)
3.767  81
3.334  36
3.310  100
2.943  41
2.680  42
2.330  18
1.963  19
1.920  18
1.909  37
1.689  26

Structure:
Cell lengths 6.952, 6.952, 11.437 Å; angles 90.00, 90.00, 147.19 degrees
Atoms (fractional coordinates):
Rb  0.135  0.865  0.582
Rb  0.135  0.865  0.918
Rb  0.865  0.135  0.082
Rb  0.865  0.135  0.418
S  0.147  0.853  0.250
S  0.853  0.147  0.750
O  0.064  0.936  0.153
O  0.064  0.936  0.347
O  0.231  0.769  0.151
O  0.231  0.769  0.349
O  0.347  0.653  0.750
O  0.653  0.347  0.250
O  0.769  0.231  0.651
O  0.769  0.231  0.849
O  0.936  0.064  0.653
O  0.936  0.064  0.847